No. 1
Computed powder diffractogram of CaVAg2S4 for Cu Kα, from a DFT-relaxed cell (PBE, Alexandria).
Peak positions follow from Bragg's law for the DFT cell and can differ from measured ones.

Cell and atoms:
Cell: 6.8384 6.8314 6.0022 Å, 64.01 63.89 52.09°
Element x y z (fractional)
1 Ca 0.0000 0.0000 0.0000
2 V 0.4988 0.4988 0.5012
3 Ag 0.2492 0.2492 0.2508
4 Ag 0.7492 0.7492 0.7508
5 S 0.1638 0.5928 0.8362
6 S 0.4055 0.8332 0.1668
7 S 0.5928 0.1638 0.4072
8 S 0.8332 0.4055 0.5945

Most intense lines, 2θ = 15–90°, in order of falling intensity:
2theta, I_rel
26.80, 100
45.38, 36
51.05, 29
29.77, 12
55.85, 12
20.93, 12
72.70, 11
42.54, 10
42.66, 10
16.55, 9

---

No. 2
Computed powder diffractogram of CaAgSb for Cu Kα, from a DFT-relaxed cell (PBE, Alexandria).
Peak positions follow from Bragg's law for the DFT cell and can differ from measured ones.

Cell and atoms:
Cell: 6.3592 4.8489 10.5317 Å, 90.00 90.00 90.00°
Element x y z (fractional)
1 Ca 0.2447 0.2500 0.0912
2 Ca 0.2553 0.7500 0.5912
3 Ca 0.7447 0.2500 0.4088
4 Ca 0.7553 0.7500 0.9088
5 Ag 0.0917 0.2500 0.7977
6 Ag 0.4083 0.7500 0.2977
7 Ag 0.5917 0.2500 0.7023
8 Ag 0.9083 0.7500 0.2023
9 Sb 0.2426 0.2500 0.3930
10 Sb 0.2574 0.7500 0.8930
11 Sb 0.7426 0.2500 0.1070
12 Sb 0.7574 0.7500 0.6070

Most intense lines, 2θ = 15–90°, in order of falling intensity:
2theta, I_rel
31.46, 100
21.91, 65
34.80, 62
37.08, 50
42.66, 26
33.71, 23
49.30, 22
43.49, 22
29.34, 20
28.06, 19

---

No. 3
Computed powder diffractogram of CaAg2Sb for Cu Kα, from a DFT-relaxed cell (PBE, Alexandria).
Peak positions follow from Bragg's law for the DFT cell and can differ from measured ones.

Cell and atoms:
Cell: 4.5574 4.5574 8.8061 Å, 90.00 90.00 90.00°
Element x y z (fractional)
1 Ca 0.0000 0.0000 0.0000
2 Ca 0.5000 0.5000 0.5000
3 Ag 0.0000 0.5000 0.2500
4 Ag 0.0000 0.5000 0.7500
5 Ag 0.5000 0.0000 0.2500
6 Ag 0.5000 0.0000 0.7500
7 Sb 0.0000 0.0000 0.5000
8 Sb 0.5000 0.5000 0.0000

Most intense lines, 2θ = 15–90°, in order of falling intensity:
2theta, I_rel
34.49, 100
39.55, 34
68.51, 25
58.28, 21
41.00, 15
21.96, 13
70.50, 11
57.17, 11
72.73, 10
45.69, 4

---

No. 4
Computed powder diffractogram of CaSiAg2Se4 for Cu Kα, from a DFT-relaxed cell (PBE, Alexandria).
Peak positions follow from Bragg's law for the DFT cell and can differ from measured ones.

Cell and atoms:
Cell: 8.1027 8.1027 7.5834 Å, 117.88 117.88 94.19°
Element x y z (fractional)
1 Ca 0.0000 0.5000 0.0000
2 Ca 0.5000 0.0000 0.5000
3 Si 0.0000 0.0000 0.0000
4 Si 0.0000 0.0000 0.5000
5 Ag 0.0000 0.5000 0.5000
6 Ag 0.5000 0.0000 0.0000
7 Ag 0.5000 0.5000 0.0000
8 Ag 0.5000 0.5000 0.5000
9 Se 0.2094 0.7904 0.5135
10 Se 0.2096 0.7906 0.9865
11 Se 0.2274 0.2343 0.9804
12 Se 0.2343 0.2274 0.4804
13 Se 0.7657 0.7726 0.5196
14 Se 0.7726 0.7657 0.0196
15 Se 0.7904 0.2094 0.0135
16 Se 0.7906 0.2096 0.4865

Most intense lines, 2θ = 15–90°, in order of falling intensity:
2theta, I_rel
32.50, 100
44.89, 61
30.11, 48
34.62, 20
45.24, 19
55.32, 18
47.99, 16
25.10, 16
57.70, 14
76.21, 14

---

No. 5
Computed powder diffractogram of CaAg2TeSe for Cu Kα, from a DFT-relaxed cell (PBE, Alexandria).
Peak positions follow from Bragg's law for the DFT cell and can differ from measured ones.

Cell and atoms:
Cell: 8.3244 8.3244 8.3244 Å, 136.26 136.26 63.57°
Element x y z (fractional)
1 Ca 0.0000 0.0000 0.0000
2 Ca 0.5000 0.5000 0.0000
3 Ag 0.0062 0.5062 0.1676
4 Ag 0.3386 0.8386 0.8324
5 Ag 0.5062 0.3386 0.5000
6 Ag 0.8386 0.0062 0.5000
7 Te 0.2800 0.2800 0.0000
8 Te 0.7800 0.7800 0.0000
9 Se 0.0104 0.5104 0.5000
10 Se 0.5104 0.0104 0.5000

Most intense lines, 2θ = 15–90°, in order of falling intensity:
2theta, I_rel
38.61, 100
32.91, 84
23.87, 83
37.62, 58
48.15, 48
41.17, 35
31.50, 35
45.81, 32
32.52, 30
43.57, 29

---

No. 6
Computed powder diffractogram of CaUAgSe4 for Cu Kα, from a DFT-relaxed cell (PBE, Alexandria).
Peak positions follow from Bragg's law for the DFT cell and can differ from measured ones.

Cell and atoms:
Cell: 8.3337 8.3337 8.3337 Å, 120.55 119.34 90.10°
Element x y z (fractional)
1 Ca 0.5000 0.0000 0.0000
2 Ca 0.5000 0.5000 0.5000
3 U 0.0000 0.0000 0.0000
4 U 0.5000 0.0000 0.5000
5 Ag 0.1161 0.3661 0.7500
6 Ag 0.8839 0.6339 0.2500
7 Se 0.2332 0.2295 0.0038
8 Se 0.2469 0.2235 0.4766
9 Se 0.2469 0.7704 0.0234
10 Se 0.2743 0.7705 0.5038
11 Se 0.7257 0.2295 0.4962
12 Se 0.7531 0.2296 0.9766
13 Se 0.7531 0.7765 0.5234
14 Se 0.7668 0.7705 0.9962

Most intense lines, 2θ = 15–90°, in order of falling intensity:
2theta, I_rel
43.44, 100
30.33, 97
24.92, 87
25.10, 45
39.85, 44
21.50, 32
42.98, 28
39.80, 26
43.82, 25
15.05, 23

---

No. 7
Computed powder diffractogram of Ca8SiAg2 for Cu Kα, from a DFT-relaxed cell (PBE, Alexandria).
Peak positions follow from Bragg's law for the DFT cell and can differ from measured ones.

Cell and atoms:
Cell: 8.2064 8.2064 6.5433 Å, 102.08 102.08 114.48°
Element x y z (fractional)
1 Ca 0.0000 0.0000 0.0000
2 Ca 0.0004 0.2608 0.5501
3 Ca 0.1352 0.5327 0.1696
4 Ca 0.2608 0.0004 0.5501
5 Ca 0.4343 0.6855 0.7756
6 Ca 0.5327 0.1352 0.1696
7 Ca 0.6855 0.4343 0.7756
8 Ca 0.6943 0.6943 0.3720
9 Si 0.3419 0.3419 0.3871
10 Ag 0.0544 0.6770 0.7161
11 Ag 0.6770 0.0544 0.7161

Most intense lines, 2θ = 15–90°, in order of falling intensity:
2theta, I_rel
28.97, 100
35.68, 67
36.13, 53
25.29, 43
30.97, 42
32.39, 42
32.00, 41
19.54, 37
38.34, 30
48.85, 27

---

No. 8
Computed powder diffractogram of Ca3Ag7Sn2 for Cu Kα, from a DFT-relaxed cell (PBE, Alexandria).
Peak positions follow from Bragg's law for the DFT cell and can differ from measured ones.

Cell and atoms:
Cell: 15.2844 15.2844 15.2844 Å, 163.71 163.71 23.12°
Element x y z (fractional)
1 Ca 0.0000 0.0000 0.0000
2 Ca 0.1700 0.1700 0.0000
3 Ca 0.8300 0.8300 0.0000
4 Ag 0.0738 0.5738 0.5000
5 Ag 0.2711 0.2711 0.0000
6 Ag 0.4262 0.9262 0.5000
7 Ag 0.5000 0.5000 0.0000
8 Ag 0.5738 0.0738 0.5000
9 Ag 0.7289 0.7289 0.0000
10 Ag 0.9262 0.4262 0.5000
11 Sn 0.3659 0.3659 0.0000
12 Sn 0.6341 0.6341 0.0000

Most intense lines, 2θ = 15–90°, in order of falling intensity:
2theta, I_rel
37.96, 100
41.71, 78
34.36, 69
29.78, 49
33.97, 38
20.72, 34
39.08, 29
73.65, 27
60.46, 25
60.87, 23

---

No. 9
Computed powder diffractogram of Ca2Ag2Sn3 for Cu Kα, from a DFT-relaxed cell (PBE, Alexandria).
Peak positions follow from Bragg's law for the DFT cell and can differ from measured ones.

Cell and atoms:
Cell: 10.5178 10.5178 7.5877 Å, 90.00 90.00 154.22°
Element x y z (fractional)
1 Ca 0.0508 0.9492 0.7500
2 Ca 0.1600 0.8400 0.2500
3 Ca 0.8400 0.1600 0.7500
4 Ca 0.9492 0.0508 0.2500
5 Ag 0.3047 0.6953 0.0517
6 Ag 0.3047 0.6953 0.4483
7 Ag 0.6953 0.3047 0.5517
8 Ag 0.6953 0.3047 0.9483
9 Sn 0.2200 0.7800 0.7500
10 Sn 0.4344 0.5656 0.5614
11 Sn 0.4344 0.5656 0.9386
12 Sn 0.5656 0.4344 0.0614
13 Sn 0.5656 0.4344 0.4386
14 Sn 0.7800 0.2200 0.2500

Most intense lines, 2θ = 15–90°, in order of falling intensity:
2theta, I_rel
30.62, 100
19.41, 71
43.54, 66
38.37, 66
42.71, 63
31.27, 61
35.01, 44
39.74, 41
20.91, 39
52.89, 32

---

No. 10
Computed powder diffractogram of CaAgSn3 for Cu Kα, from a DFT-relaxed cell (PBE, Alexandria).
Peak positions follow from Bragg's law for the DFT cell and can differ from measured ones.

Cell and atoms:
Cell: 13.1360 13.1360 4.6087 Å, 90.00 90.00 159.57°
Element x y z (fractional)
1 Ca 0.1683 0.8317 0.0000
2 Ca 0.8317 0.1683 0.0000
3 Ag 0.3827 0.6173 0.5000
4 Ag 0.6173 0.3827 0.5000
5 Sn 0.0563 0.9437 0.5000
6 Sn 0.2805 0.7195 0.5000
7 Sn 0.4440 0.5560 0.0000
8 Sn 0.5560 0.4440 0.0000
9 Sn 0.7195 0.2805 0.5000
10 Sn 0.9437 0.0563 0.5000

Most intense lines, 2θ = 15–90°, in order of falling intensity:
2theta, I_rel
29.16, 100
41.82, 80
19.29, 40
38.64, 37
39.09, 35
36.72, 34
56.14, 25
20.61, 18
72.10, 17
72.69, 16

---

No. 11
Computed powder diffractogram of Ca12Ag6Sn for Cu Kα, from a DFT-relaxed cell (PBE, Alexandria).
Peak positions follow from Bragg's law for the DFT cell and can differ from measured ones.

Cell and atoms:
Cell: 9.1035 9.1035 9.1035 Å, 109.47 109.47 109.47°
Element x y z (fractional)
1 Ca 0.1073 0.8179 0.2893
2 Ca 0.1821 0.2893 0.4714
3 Ca 0.1821 0.7107 0.8927
4 Ca 0.2893 0.1073 0.8179
5 Ca 0.2893 0.4714 0.1821
6 Ca 0.4714 0.1821 0.2893
7 Ca 0.5286 0.8179 0.7107
8 Ca 0.7107 0.5286 0.8179
9 Ca 0.7107 0.8927 0.1821
10 Ca 0.8179 0.2893 0.1073
11 Ca 0.8179 0.7107 0.5286
12 Ca 0.8927 0.1821 0.7107
13 Ag 0.1312 0.6312 0.5000
14 Ag 0.3688 0.5000 0.8688
15 Ag 0.5000 0.1312 0.6312
16 Ag 0.5000 0.8688 0.3688
17 Ag 0.6312 0.5000 0.1312
18 Ag 0.8688 0.3688 0.5000
19 Sn 0.0000 0.0000 0.0000

Most intense lines, 2θ = 15–90°, in order of falling intensity:
2theta, I_rel
31.85, 100
16.87, 45
43.92, 41
36.26, 22
52.21, 15
56.76, 14
78.23, 13
34.12, 13
62.47, 12
70.55, 11

---

No. 12
Computed powder diffractogram of Ca2AgSn5 for Cu Kα, from a DFT-relaxed cell (PBE, Alexandria).
Peak positions follow from Bragg's law for the DFT cell and can differ from measured ones.

Cell and atoms:
Cell: 9.0872 9.4933 6.6055 Å, 90.00 132.83 90.00°
Element x y z (fractional)
1 Ca 0.0000 0.2493 0.0000
2 Ca 0.0000 0.7507 0.0000
3 Ca 0.5000 0.2507 0.0000
4 Ca 0.5000 0.7493 0.0000
5 Ag 0.2515 0.0000 0.4992
6 Ag 0.7515 0.5000 0.4992
7 Sn 0.0059 0.2122 0.5002
8 Sn 0.0059 0.7878 0.5002
9 Sn 0.2007 0.5000 0.9133
10 Sn 0.2494 0.5000 0.4976
11 Sn 0.2812 0.0000 0.0697
12 Sn 0.5059 0.2878 0.5002
13 Sn 0.5059 0.7122 0.5002
14 Sn 0.7007 0.0000 0.9133
15 Sn 0.7494 0.0000 0.4976
16 Sn 0.7812 0.5000 0.0697

Most intense lines, 2θ = 15–90°, in order of falling intensity:
2theta, I_rel
32.84, 100
33.09, 99
39.68, 34
37.12, 31
37.91, 30
31.32, 19
56.04, 19
64.52, 16
54.10, 15
67.99, 12

---

No. 13
Computed powder diffractogram of Ca2Ag5Sn3 for Cu Kα, from a DFT-relaxed cell (PBE, Alexandria).
Peak positions follow from Bragg's law for the DFT cell and can differ from measured ones.

Cell and atoms:
Cell: 9.2963 9.2963 9.2963 Å, 97.09 96.16 140.29°
Element x y z (fractional)
1 Ca 0.2411 0.1252 0.3663
2 Ca 0.2589 0.6252 0.8840
3 Ca 0.7411 0.3748 0.1160
4 Ca 0.7589 0.8748 0.6337
5 Ag 0.1496 0.3823 0.5319
6 Ag 0.2500 0.2500 0.0000
7 Ag 0.2500 0.5099 0.2599
8 Ag 0.2500 0.9901 0.7401
9 Ag 0.3504 0.8823 0.2327
10 Ag 0.6496 0.1177 0.7673
11 Ag 0.7500 0.0099 0.2599
12 Ag 0.7500 0.4901 0.7401
13 Ag 0.7500 0.7500 0.0000
14 Ag 0.8504 0.6177 0.4681
15 Sn 0.1348 0.8671 0.0019
16 Sn 0.2500 0.7500 0.5000
17 Sn 0.3652 0.3671 0.7323
18 Sn 0.6348 0.6329 0.2677
19 Sn 0.7500 0.2500 0.5000
20 Sn 0.8652 0.1329 0.9981

Most intense lines, 2θ = 15–90°, in order of falling intensity:
2theta, I_rel
40.95, 100
31.79, 84
21.39, 83
32.47, 77
40.75, 65
41.30, 60
41.74, 52
29.60, 42
59.50, 29
61.45, 24